No. 1
# KCrF3
Computed powder diffractogram, λ = 1.5418 Å (Cu Kα). Input: the PBE+U geometry in the Materials Project.
No peak broadening, texture or thermal motion is included.

Structural model:
Unit cell a=4.220 b=4.220 c=4.220 alpha=90.00 beta=90.00 gamma=90.00
Space group Pm-3m (No. 221)
Inequivalent atoms, fractional coordinates:
K 0.000 0.000 0.000
Cr 0.500 0.500 0.500
F 0.000 0.500 0.500

Largest 12 diffraction maxima, sorted by position, 2θ from 15° to 90°:
d (Å)	2θ (°)	I (rel.)
4.220	21.05	25
2.984	29.95	100
2.436	36.90	14
2.110	42.86	72
1.887	48.22	9
1.723	53.17	35
1.492	62.23	39
1.407	66.47	4
1.334	70.58	14
1.272	74.59	3
1.218	78.53	12
1.128	86.25	16

=====

No. 2
# KCrF3
Computed powder diffractogram, λ = 1.5418 Å (Cu Kα). Input: the PBE+U geometry in the Materials Project.
No peak broadening, texture or thermal motion is included.

Structural model:
Unit cell a=4.094 b=4.094 c=4.601 alpha=90.00 beta=90.00 gamma=90.00
Space group P4/mmm (No. 123)
Inequivalent atoms, fractional coordinates:
K 0.000 0.000 0.000
Cr 0.500 0.500 0.500
F 0.000 0.500 0.500
F 0.500 0.500 0.000

Largest 12 diffraction maxima, sorted by position, 2θ from 15° to 90°:
d (Å)	2θ (°)	I (rel.)
4.601	19.29	14
4.094	21.71	21
3.058	29.20	100
2.895	30.89	43
2.450	36.68	20
2.300	39.16	45
2.047	44.25	60
1.801	50.69	19
1.701	53.90	31
1.529	60.55	40
1.447	64.37	16
1.225	78.00	17

=====

No. 3
# KCrF3
Computed powder diffractogram, λ = 1.5418 Å (Cu Kα). Input: the PBE+U geometry in the Materials Project.
No peak broadening, texture or thermal motion is included.

Structural model:
Unit cell a=6.102 b=6.144 c=8.241 alpha=90.00 beta=90.00 gamma=90.00
Space group Ibam (No. 72)
Inequivalent atoms, fractional coordinates:
K 0.000 0.000 0.250
Cr 0.000 0.500 0.000
F 0.000 0.500 0.250
F 0.245 0.279 0.000

Largest 12 diffraction maxima, sorted by position, 2θ from 15° to 90°:
d (Å)	2θ (°)	I (rel.)
4.330	20.51	26
4.121	21.57	11
3.072	29.07	29
3.051	29.27	26
2.985	29.94	100
2.452	36.65	10
2.165	41.72	75
2.060	43.95	33
1.756	52.07	18
1.749	52.32	18
1.526	60.71	11
1.492	62.20	37